Simulated powder XRD pattern of K3V3Bi2O12 for Cu Kα (λ = 1.5418 Å), from a cell relaxed with PBE+U.
No peak broadening, texture or thermal motion is included.

Cell and atoms:
a = 10.0112 Å, b = 10.0112 Å, c = 7.3203 Å
α = 106.33°, β = 106.33°, γ = 89.84°
Fractional coordinates of all 40 atoms:
K 0.0000 0.0000 0.0000
K 0.0000 0.0000 0.5000
K 0.2273 0.7727 0.7500
K 0.4959 0.5041 0.7500
K 0.5041 0.4959 0.2500
K 0.7727 0.2273 0.2500
V 0.1513 0.3673 0.3658
V 0.2468 0.7532 0.2500
V 0.3673 0.1513 0.8658
V 0.6327 0.8487 0.1342
V 0.7532 0.2468 0.7500
V 0.8487 0.6327 0.6342
Bi 0.1175 0.4181 0.8475
Bi 0.4181 0.1175 0.3475
Bi 0.5819 0.8825 0.6525
Bi 0.8825 0.5819 0.1525
O 0.0557 0.4285 0.1605
O 0.0759 0.2108 0.3488
O 0.0964 0.7468 0.3186
O 0.1586 0.4876 0.5981
O 0.2108 0.0759 0.8488
O 0.2532 0.9036 0.1814
O 0.2536 0.6109 0.0450
O 0.3221 0.3459 0.3583
O 0.3459 0.3221 0.8583
O 0.3891 0.7464 0.4550
O 0.4285 0.0557 0.6605
O 0.4876 0.1586 0.0981
O 0.5124 0.8414 0.9019
O 0.5715 0.9443 0.3395
O 0.6109 0.2536 0.5450
O 0.6541 0.6779 0.1417
O 0.6779 0.6541 0.6417
O 0.7464 0.3891 0.9550
O 0.7468 0.0964 0.8186
O 0.7892 0.9241 0.1512
O 0.8414 0.5124 0.4019
O 0.9036 0.2532 0.6814
O 0.9241 0.7892 0.6512
O 0.9443 0.5715 0.8395

Top 8 peaks for 10° ≤ 2θ ≤ 90°, in order of rising 2θ:
| Position (°2θ) | Rel. int. |
| --- | --- |
| 13.6 | 100 |
| 18.2 | 54 |
| 19.4 | 53 |
| 27.1 | 35 |
| 27.4 | 56 |
| 28.7 | 88 |
| 29.3 | 36 |
| 31.2 | 42 |

---

Simulated powder XRD pattern of KBi2WO8 for Cu Kα (λ = 1.5418 Å), from a cell relaxed with PBE+U.
No peak broadening, texture or thermal motion is included.

Cell and atoms:
a = 5.0704 Å, b = 6.9935 Å, c = 5.1050 Å
α = 90.00°, β = 92.65°, γ = 90.00°
Fractional coordinates of all 12 atoms:
K 0.0000 0.0000 0.0000
Bi 0.5000 0.2489 0.5000
Bi 0.5000 0.7511 0.5000
W 0.0000 0.5000 0.0000
O 0.1940 0.3041 0.1872
O 0.1940 0.6959 0.1872
O 0.2787 0.5000 0.7151
O 0.3164 0.0000 0.6647
O 0.6836 0.0000 0.3353
O 0.7213 0.5000 0.2849
O 0.8060 0.3041 0.8128
O 0.8060 0.6959 0.8128

Top 8 peaks for 10° ≤ 2θ ≤ 90°, in order of rising 2θ:
| Position (°2θ) | Rel. int. |
| --- | --- |
| 24.2 | 57 |
| 25.4 | 51 |
| 31.0 | 100 |
| 35.4 | 23 |
| 47.0 | 20 |
| 47.1 | 20 |
| 48.3 | 18 |
| 48.5 | 18 |

---

Simulated powder XRD pattern of KBiW2O8 for Cu Kα (λ = 1.5418 Å), from a cell relaxed with PBE+U.
No peak broadening, texture or thermal motion is included.

Cell and atoms:
a = 7.8374 Å, b = 7.8374 Å, c = 7.5299 Å
α = 117.88°, β = 117.88°, γ = 88.79°
Fractional coordinates of all 24 atoms:
K 0.2173 0.7827 0.7500
K 0.7827 0.2173 0.2500
Bi 0.2193 0.7807 0.2500
Bi 0.7807 0.2193 0.7500
W 0.3019 0.3100 0.2917
W 0.3100 0.3019 0.7917
W 0.6900 0.6981 0.2083
W 0.6981 0.6900 0.7083
O 0.0428 0.2421 0.6907
O 0.0557 0.3514 0.1320
O 0.2421 0.0428 0.1907
O 0.2582 0.3678 0.5594
O 0.3514 0.0557 0.6320
O 0.3678 0.2582 0.0594
O 0.3789 0.5961 0.0311
O 0.4039 0.6211 0.4689
O 0.5961 0.3789 0.5311
O 0.6211 0.4039 0.9689
O 0.6322 0.7418 0.9406
O 0.6486 0.9443 0.3680
O 0.7418 0.6322 0.4406
O 0.7579 0.9572 0.8093
O 0.9443 0.6486 0.8680
O 0.9572 0.7579 0.3093

Top 8 peaks for 10° ≤ 2θ ≤ 90°, in order of rising 2θ:
| Position (°2θ) | Rel. int. |
| --- | --- |
| 14.3 | 37 |
| 26.6 | 100 |
| 28.8 | 79 |
| 31.4 | 28 |
| 32.2 | 19 |
| 32.7 | 37 |
| 46.0 | 19 |
| 52.9 | 15 |